The following is a theoretical PXRD pattern of Cu3Sn. It was derived from the GGA-PBE geometry in the Materials Project, using Cu Kα, 1.54184 Å.
No peak broadening, texture or thermal motion is included.

Main lines, low angle first (10 to 90 degrees two-theta):
- 27.68°, intensity 12
- 32.32°, intensity 4
- 37.49°, intensity 25
- 41.52°, intensity 25
- 43.06°, intensity 100
- 57.17°, intensity 14
- 67.64°, intensity 16
- 76.82°, intensity 17
- 82.58°, intensity 18
- 83.62°, intensity 13

```
data_Cu3Sn
_cell_length_a 5.5405
_cell_length_b 5.5405
_cell_length_c 4.3497
_cell_angle_alpha 90.00
_cell_angle_beta 90.00
_cell_angle_gamma 120.00
_symmetry_space_group_name_H-M 'P 1'
_symmetry_Int_Tables_number 1
loop_
_symmetry_equiv_pos_as_xyz
'x,y,z'
loop_
_atom_site_label
_atom_site_fract_x
_atom_site_fract_y
_atom_site_fract_z
Cu1 0.1561 0.3121 0.2500
Cu2 0.1561 0.8439 0.2500
Cu3 0.3121 0.1561 0.7500
Cu4 0.6879 0.8439 0.2500
Cu5 0.8439 0.1561 0.7500
Cu6 0.8439 0.6879 0.7500
Sn1 0.3333 0.6667 0.7500
Sn2 0.6667 0.3333 0.2500
```

***

The following is a theoretical PXRD pattern of Cu3Sn. It was derived from the GGA-PBE geometry in the Materials Project, using Cu Kα, 1.54184 Å.
No peak broadening, texture or thermal motion is included.

Main lines, low angle first (10 to 90 degrees two-theta):
- 25.01°, intensity 6
- 28.96°, intensity 3
- 41.42°, intensity 100
- 49.00°, intensity 3
- 51.33°, intensity 1
- 60.01°, intensity 16
- 66.05°, intensity 2
- 67.99°, intensity 2
- 75.54°, intensity 32
- 81.03°, intensity 1

```
data_Cu3Sn
_cell_length_a 4.3601
_cell_length_b 4.3601
_cell_length_c 4.3601
_cell_angle_alpha 60.00
_cell_angle_beta 60.00
_cell_angle_gamma 60.00
_symmetry_space_group_name_H-M 'P 1'
_symmetry_Int_Tables_number 1
loop_
_symmetry_equiv_pos_as_xyz
'x,y,z'
loop_
_atom_site_label
_atom_site_fract_x
_atom_site_fract_y
_atom_site_fract_z
Cu1 0.0000 0.0000 0.0000
Cu2 0.2500 0.2500 0.2500
Cu3 0.7500 0.7500 0.7500
Sn1 0.5000 0.5000 0.5000
```